Theoretical powder diffraction line list of Pr7O12 for Cu Kα (weighted mean of Kα1 and Kα2), from a DFT-relaxed cell (GGA-PBE, the Materials Project).

Atomic structure:
```
Pr7O12
1.0
5.316 3.069 3.289
-5.316 3.069 3.289
0.000 -6.138 3.289
Pr O
7 12
Cartesian
0.000 0.000 0.000 Pr
-2.495 0.445 3.446 Pr
0.862 -2.383 3.446 Pr
-1.633 -1.938 6.421 Pr
1.633 1.938 3.446 Pr
-0.862 2.383 6.421 Pr
2.495 -0.445 6.421 Pr
-4.642 1.053 4.341 O
-3.233 -3.494 5.526 O
-1.378 -1.671 3.941 O
1.409 -4.547 4.341 O
-2.136 0.358 5.926 O
-0.758 2.029 3.941 O
0.758 -2.029 5.926 O
2.136 -0.358 3.941 O
-1.409 4.547 5.526 O
1.378 1.671 5.926 O
3.233 3.494 4.341 O
4.642 -1.053 5.526 O
```

The 12 most intense peaks (2θ from 10° to 90°), low angle first:
Position (°2θ), Rel. int.
27.16, 100
31.46, 32
45.09, 47
53.42, 29
53.47, 11
56.04, 7
65.66, 6
72.37, 7
72.50, 7
74.57, 5
83.26, 8
89.53, 5